# AsPt2
Calculated PXRD pattern, Cu Kα (weighted mean of Kα1 and Kα2). Input: the GGA-PBE geometry in Alexandria.

Structure:
```
AsPt2
1.0
10.418 0.000 0.000
0.000 3.686 0.000
-1.785 0.000 5.273
As Pt
4 8
Direct
0.183 0.000 0.159
0.317 0.500 0.841
0.683 0.500 0.159
0.817 0.000 0.841
0.054 0.500 0.273
0.138 0.000 0.693
0.362 0.500 0.307
0.446 0.000 0.727
0.554 0.000 0.273
0.638 0.500 0.693
0.862 0.000 0.307
0.946 0.500 0.727
```

The 10 most intense peaks (5 to 70 degrees two-theta), sorted by position:
2θ/deg	I (rel.)	h k l
29.28	31	1 1 -1
34.01	69	0 0 2
34.86	27	4 0 -1
36.49	62	3 1 -1
36.61	100	3 1 0
40.66	40	1 1 -2
43.98	61	3 1 -2
44.28	49	3 1 1
49.45	40	0 2 0
61.38	27	0 2 2